Entry 1:
For Ag4IBr3, DFT lattice parameters and positions (GGA-PBE) gives the theoretical X-ray powder pattern in this record (Cu Kα (weighted mean of Kα1 and Kα2)).

Lattice parameters (Å, degrees): 6.2983 6.2983 12.7140 90.00 90.00 90.00
Space group I-42m (No. 121)
Asymmetric unit:
1 Ag 0.2438 0.2438 0.3722 [8 per cell]
2 I 0.0000 0.0000 0.0000 [2 per cell]
3 Br 0.0000 0.0000 0.5000 [2 per cell]
4 Br 0.0000 0.5000 0.2500 [4 per cell]

Principal peaks in the range 10° ≤ 2θ ≤ 90°, in order of rising 2θ:
(1 1 2), 24.40 deg, 3.648 Å, rel. 100; (2 0 4), 40.32 deg, 2.237 Å, rel. 51; (2 2 0), 40.51 deg, 2.227 Å, rel. 25; (1 1 6), 47.52 deg, 1.913 Å, rel. 16; (3 1 2), 47.86 deg, 1.901 Å, rel. 31; (4 2 4), 73.56 deg, 1.288 Å, rel. 16



Entry 2:
For Ta13Al16, DFT lattice parameters and positions (GGA-PBE) gives the theoretical X-ray powder pattern in this record (Cu Kα (weighted mean of Kα1 and Kα2)).

Lattice parameters (Å, degrees): 10.1202 10.1202 10.1202 90.00 90.00 90.00
Space group I-43m (No. 217)
Asymmetric unit:
1 Ta 0.0000 0.0000 0.0000 [2 per cell]
2 Ta 0.0957 0.0957 0.7178 [24 per cell]
3 Al 0.0549 0.3658 0.6342 [24 per cell]
4 Al 0.1660 0.1660 0.1660 [8 per cell]

Principal peaks in the range 10° ≤ 2θ ≤ 90°, in order of rising 2θ:
(1 1 0), 12.37 deg, 7.156 Å, rel. 55; (2 1 1), 21.51 deg, 4.132 Å, rel. 100; (4 1 1), 37.71 deg, 2.385 Å, rel. 83; (3 3 2), 41.87 deg, 2.158 Å, rel. 88; (5 1 0), 45.71 deg, 1.985 Å, rel. 44; (5 5 0), 65.18 deg, 1.431 Å, rel. 38



Entry 3:
For Ta9Re4, DFT lattice parameters and positions (GGA-PBE) gives the theoretical X-ray powder pattern in this record (Cu Kα (weighted mean of Kα1 and Kα2)).

Lattice parameters (Å, degrees): 5.3457 5.3457 27.8258 90.00 90.00 120.00
Space group R-3m (No. 166, hexagonal axes)
Asymmetric unit:
1 Ta 0.0000 0.0000 0.0000 [3 per cell]
2 Ta 0.0000 0.0000 0.3508 [6 per cell]
3 Ta 0.0028 0.5014 0.4145 [18 per cell]
4 Re 0.0000 0.0000 0.1679 [6 per cell]
5 Re 0.0000 0.0000 0.4561 [6 per cell]

Principal peaks in the range 10° ≤ 2θ ≤ 90°, in order of rising 2θ:
(1 1 0), 33.53 deg, 2.673 Å, rel. 38; (0 0 12), 38.88 deg, 2.316 Å, rel. 100; (0 2 1), 39.05 deg, 2.307 Å, rel. 39; (0 1 11), 40.64 deg, 2.220 Å, rel. 47; (2 0 5), 42.29 deg, 2.137 Å, rel. 40; (2 2 0), 70.46 deg, 1.336 Å, rel. 47



Entry 4:
For CdCoOsPb, DFT lattice parameters and positions (GGA-PBE) gives the theoretical X-ray powder pattern in this record (Cu Kα (weighted mean of Kα1 and Kα2)).

Lattice parameters (Å, degrees): 6.4695 6.4695 6.4695 90.00 90.00 90.00
Space group F-43m (No. 216)
Asymmetric unit:
1 Cd 0.0000 0.0000 0.0000 [4 per cell]
2 Co 0.2500 0.2500 0.7500 [4 per cell]
3 Os 0.2500 0.2500 0.2500 [4 per cell]
4 Pb 0.0000 0.0000 0.5000 [4 per cell]

Principal peaks in the range 10° ≤ 2θ ≤ 90°, in order of rising 2θ:
(1 1 1), 23.82 deg, 3.735 Å, rel. 17; (2 2 0), 39.39 deg, 2.287 Å, rel. 100; (3 1 1), 46.56 deg, 1.951 Å, rel. 9; (4 0 0), 56.93 deg, 1.617 Å, rel. 17; (4 2 2), 71.43 deg, 1.321 Å, rel. 34; (4 4 0), 84.77 deg, 1.144 Å, rel. 11



Entry 5:
For Sr2MgCoSi2, DFT lattice parameters and positions (GGA-PBE) gives the theoretical X-ray powder pattern in this record (Cu Kα (weighted mean of Kα1 and Kα2)).

Lattice parameters (Å, degrees): 4.3740 4.3740 7.1662 90.00 90.00 90.00
Space group P-4m2 (No. 115)
Asymmetric unit:
1 Sr 0.0000 0.5000 0.1702 [2 per cell]
2 Mg 0.0000 0.0000 0.5000 [1 per cell]
3 Co 0.5000 0.5000 0.5000 [1 per cell]
4 Si 0.0000 0.5000 0.6859 [2 per cell]

Principal peaks in the range 10° ≤ 2θ ≤ 90°, in order of rising 2θ:
(1 0 1), 23.83 deg, 3.733 Å, rel. 65; (1 1 1), 31.50 deg, 2.840 Å, rel. 64; (1 0 2), 32.30 deg, 2.772 Å, rel. 100; (1 1 2), 38.45 deg, 2.341 Å, rel. 81; (2 0 0), 41.28 deg, 2.187 Å, rel. 69; (2 1 2), 53.36 deg, 1.717 Å, rel. 46



Entry 6:
For Li6Pt2O7, DFT lattice parameters and positions (GGA-PBE) gives the theoretical X-ray powder pattern in this record (Cu Kα (weighted mean of Kα1 and Kα2)).

Lattice parameters (Å, degrees): 5.1152 5.1708 5.8502 72.93 89.66 79.92
Space group P-1 (No. 2)
Asymmetric unit:
1 Li 0.0794 0.2759 0.4445 [2 per cell]
2 Li 0.3644 0.7275 0.8272 [2 per cell]
3 Li 0.3695 0.7065 0.3129 [2 per cell]
4 Pt 0.1314 0.2476 0.9341 [2 per cell]
5 O 0.0067 0.0014 0.7564 [2 per cell]
6 O 0.2279 0.4910 0.1254 [2 per cell]
7 O 0.2653 0.4809 0.6319 [2 per cell]
8 O 0.5000 0.0000 0.0000 [1 per cell]

Principal peaks in the range 10° ≤ 2θ ≤ 90°, in order of rising 2θ:
(0 0 1), 15.87 deg, 5.586 Å, rel. 100; (1 0 0), 17.63 deg, 5.030 Å, rel. 45; (1 1 0), 23.02 deg, 3.863 Å, rel. 21; (1 0 1), 24.38 deg, 3.652 Å, rel. 31; (1 -1 0), 27.73 deg, 3.217 Å, rel. 22; (1 1 -1), 30.65 deg, 2.917 Å, rel. 22



Entry 7:
For Gd2ErGa3NiGe2, DFT lattice parameters and positions (GGA-PBE) gives the theoretical X-ray powder pattern in this record (Cu Kα (weighted mean of Kα1 and Kα2)).

Lattice parameters (Å, degrees): 4.1652 12.0953 7.0123 90.00 90.00 90.00
Space group Amm2 (No. 38)
Asymmetric unit:
1 Gd 0.0000 0.1999 0.0000 [4 per cell]
2 Er 0.0000 0.0000 0.5987 [2 per cell]
3 Ga 0.5000 0.0000 0.9707 [2 per cell]
4 Ga 0.5000 0.1139 0.3162 [4 per cell]
5 Ni 0.0000 0.0000 0.2039 [2 per cell]
6 Ge 0.5000 0.1644 0.6994 [4 per cell]

Principal peaks in the range 10° ≤ 2θ ≤ 90°, in order of rising 2θ:
(0 3 1), 25.46 deg, 3.499 Å, rel. 17; (1 3 1), 33.45 deg, 2.679 Å, rel. 100; (1 4 0), 36.68 deg, 2.450 Å, rel. 61; (0 1 3), 39.30 deg, 2.292 Å, rel. 24; (2 0 0), 43.45 deg, 2.083 Å, rel. 24; (1 5 3), 59.24 deg, 1.560 Å, rel. 15



Entry 8:
For GaHgNO, DFT lattice parameters and positions (GGA-PBE) gives the theoretical X-ray powder pattern in this record (Cu Kα (weighted mean of Kα1 and Kα2)).

Lattice parameters (Å, degrees): 5.8234 7.0987 5.4177 90.00 90.00 90.00
Space group Pca2_1 (No. 29)
Asymmetric unit:
1 Ga 0.0936 0.1053 0.0000 [4 per cell]
2 Hg 0.0517 0.6443 0.0354 [4 per cell]
3 N 0.1024 0.0862 0.6424 [4 per cell]
4 O 0.0364 0.6576 0.5788 [4 per cell]

Principal peaks in the range 10° ≤ 2θ ≤ 90°, in order of rising 2θ:
(1 1 1), 25.73 deg, 3.463 Å, rel. 44; (2 0 0), 30.71 deg, 2.912 Å, rel. 28; (0 0 2), 33.07 deg, 2.709 Å, rel. 44; (1 2 1), 33.89 deg, 2.645 Å, rel. 100; (2 0 1), 34.99 deg, 2.565 Å, rel. 28; (1 2 3), 59.59 deg, 1.551 Å, rel. 22



Entry 9:
For Tc2Br, DFT lattice parameters and positions (GGA-PBE) gives the theoretical X-ray powder pattern in this record (Cu Kα (weighted mean of Kα1 and Kα2)).

Lattice parameters (Å, degrees): 7.4829 7.4829 7.4829 90.00 90.00 90.00
Space group Fd-3m (No. 227, origin choice 2)
Asymmetric unit:
1 Tc 0.0000 0.0000 0.0000 [16 per cell]
2 Br 0.1250 0.1250 0.6250 [8 per cell]

Principal peaks in the range 10° ≤ 2θ ≤ 90°, in order of rising 2θ:
(2 2 0), 33.88 deg, 2.646 Å, rel. 21; (3 1 1), 39.96 deg, 2.256 Å, rel. 100; (2 2 2), 41.82 deg, 2.160 Å, rel. 47; (5 1 1), 64.73 deg, 1.440 Å, rel. 31; (4 4 0), 71.29 deg, 1.323 Å, rel. 28; (6 2 2), 86.22 deg, 1.128 Å, rel. 17



Entry 10:
For NaAg3PtSe4, DFT lattice parameters and positions (GGA-PBE) gives the theoretical X-ray powder pattern in this record (Cu Kα (weighted mean of Kα1 and Kα2)).

Lattice parameters (Å, degrees): 6.2784 6.2784 6.2784 90.00 90.00 90.00
Space group P-43m (No. 215)
Asymmetric unit:
1 Na 0.0000 0.0000 0.0000 [1 per cell]
2 Ag 0.0000 0.5000 0.5000 [3 per cell]
3 Pt 0.5000 0.5000 0.5000 [1 per cell]
4 Se 0.2691 0.2691 0.2691 [4 per cell]

Principal peaks in the range 10° ≤ 2θ ≤ 90°, in order of rising 2θ:
(1 0 0), 14.11 deg, 6.278 Å, rel. 94; (1 1 1), 24.56 deg, 3.625 Å, rel. 45; (2 1 0), 31.87 deg, 2.808 Å, rel. 31; (2 2 0), 40.64 deg, 2.220 Å, rel. 100; (2 2 1), 43.23 deg, 2.093 Å, rel. 25; (4 2 2), 73.96 deg, 1.282 Å, rel. 30



Entry 11:
For HfZrAs2Se2, DFT lattice parameters and positions (GGA-PBE) gives the theoretical X-ray powder pattern in this record (Cu Kα (weighted mean of Kα1 and Kα2)).

Lattice parameters (Å, degrees): 3.6629 5.2541 12.8141 90.00 90.00 90.00
Space group Imm2 (No. 44)
Asymmetric unit:
1 Hf 0.0000 0.0000 0.0000 [2 per cell]
2 Zr 0.0000 0.0000 0.2630 [2 per cell]
3 As 0.0000 0.2391 0.6307 [4 per cell]
4 Se 0.0000 0.5000 0.3428 [2 per cell]
5 Se 0.0000 0.5000 0.9239 [2 per cell]

Principal peaks in the range 10° ≤ 2θ ≤ 90°, in order of rising 2θ:
(0 1 1), 18.25 deg, 4.861 Å, rel. 36; (1 0 3), 32.19 deg, 2.781 Å, rel. 100; (0 2 2), 36.98 deg, 2.431 Å, rel. 32; (0 1 5), 39.11 deg, 2.303 Å, rel. 25; (1 1 4), 41.19 deg, 2.192 Å, rel. 50; (1 2 1), 42.95 deg, 2.106 Å, rel. 57